The following is a simulated powder diffraction line list of NaLa3Y3Te8. It was derived from a GGA-PBE-relaxed structure, using a wavelength of 1.5418 Å.
Neutral-atom scattering factors, no anomalous dispersion.

Cell: 8.938 8.938 8.938 Å, 59.79 59.79 59.79°
Positions (direct):
Na 0.000 0.000 0.000
La 0.000 0.000 0.500
La 0.000 0.500 0.000
La 0.500 0.000 0.000
Y 0.000 0.500 0.500
Y 0.500 0.000 0.500
Y 0.500 0.500 0.000
Te 0.255 0.255 0.255
Te 0.255 0.255 0.736
Te 0.255 0.736 0.255
Te 0.264 0.745 0.745
Te 0.736 0.255 0.255
Te 0.745 0.264 0.745
Te 0.745 0.745 0.264
Te 0.745 0.745 0.745

Most intense lines, 2θ from 5° to 70°, low angle first:
- 14.04°, intensity 8
- 28.29°, intensity 100
- 40.37°, intensity 38
- 40.50°, intensity 37
- 50.14°, intensity 20
- 58.51°, intensity 12
- 66.15°, intensity 17
- 66.34°, intensity 17